(1)
The following is a theoretical powder diffractogram of NpHg2O5. It was derived from DFT lattice parameters and positions (PBE), using Cu Kα, 1.54184 Å.

The 12 most intense peaks (5 to 70 degrees two-theta), by angle:
2θ/deg  Rel. int.
27.1  100
28.9  86
31.8  60
33.6  20
43.2  13
47.0  43
48.1  12
52.8  31
55.8  10
56.0  28
57.3  9
59.9  10

```
NpHg2O5
1.0
6.058 -2.666 0.000
6.058 2.666 0.000
-2.915 0.000 7.860
Np Hg O
2 4 10
Direct
0.000 0.000 0.000 Np
0.000 0.000 0.500 Np
0.291 0.385 0.693 Hg
0.385 0.291 0.193 Hg
0.615 0.709 0.807 Hg
0.709 0.615 0.307 Hg
0.024 0.657 0.361 O
0.186 0.639 0.040 O
0.196 0.804 0.750 O
0.343 0.976 0.139 O
0.361 0.814 0.460 O
0.639 0.186 0.540 O
0.657 0.024 0.861 O
0.804 0.196 0.250 O
0.814 0.361 0.960 O
0.976 0.343 0.639 O
```

***

(2)
The following is a theoretical powder diffractogram of Np2HgO11. It was derived from DFT lattice parameters and positions (PBE), using Cu Kα, 1.54184 Å.

The 12 most intense peaks (5 to 70 degrees two-theta), by angle:
2θ/deg  Rel. int.
13.2  37
16.6  28
17.0  20
21.3  35
23.9  100
26.4  68
26.6  83
43.4  43
43.9  46
48.3  32
48.9  21
55.8  19

```
Np2HgO11
1.0
4.368 -5.201 0.000
4.368 5.201 0.000
0.000 0.000 5.342
Np Hg O
2 1 11
Direct
0.000 0.500 0.000 Np
0.500 0.000 0.000 Np
0.000 0.000 0.500 Hg
0.029 0.310 0.245 O
0.029 0.310 0.755 O
0.310 0.029 0.245 O
0.310 0.029 0.755 O
0.351 0.649 0.000 O
0.500 0.500 0.000 O
0.649 0.351 0.000 O
0.690 0.971 0.245 O
0.690 0.971 0.755 O
0.971 0.690 0.245 O
0.971 0.690 0.755 O
```

***

(3)
The following is a theoretical powder diffractogram of Np4HgO12. It was derived from DFT lattice parameters and positions (PBE), using Cu Kα, 1.54184 Å.

The 12 most intense peaks (5 to 70 degrees two-theta), by angle:
2θ/deg  Rel. int.
15.1  19
21.3  32
21.6  62
30.5  100
30.8  46
37.7  16
44.1  26
48.9  15
49.5  15
54.1  22
54.6  44
63.5  16

```
Np4HgO12
1.0
-4.106 4.107 4.180
4.106 -4.107 4.180
4.106 4.107 -4.180
Np Hg O
4 1 12
Direct
0.000 0.000 0.500 Np
0.000 0.500 0.000 Np
0.500 0.000 0.000 Np
0.500 0.500 0.500 Np
0.000 0.000 0.000 Hg
0.039 0.288 0.751 O
0.201 0.201 0.403 O
0.201 0.799 0.000 O
0.287 0.033 0.746 O
0.287 0.541 0.254 O
0.463 0.712 0.751 O
0.537 0.288 0.249 O
0.713 0.459 0.746 O
0.713 0.967 0.254 O
0.799 0.201 0.000 O
0.799 0.799 0.597 O
0.961 0.712 0.249 O
```

***

(4)
The following is a theoretical powder diffractogram of NpHgPb2O8. It was derived from DFT lattice parameters and positions (PBE), using Cu Kα, 1.54184 Å.

The 12 most intense peaks (5 to 70 degrees two-theta), by angle:
2θ/deg  Rel. int.
24.0  53
25.0  47
30.5  100
35.0  31
46.5  38
47.7  36
51.3  16
56.0  10
57.4  20
57.9  9
60.0  21
63.6  13

```
NpHgPb2O8
1.0
3.559 -3.702 0.000
3.559 3.702 0.000
0.000 0.000 7.129
Np Hg Pb O
1 1 2 8
Direct
0.000 0.000 0.000 Np
0.000 0.000 0.500 Hg
0.500 0.500 0.250 Pb
0.500 0.500 0.750 Pb
0.186 0.814 0.198 O
0.186 0.814 0.802 O
0.302 0.302 0.000 O
0.305 0.305 0.500 O
0.695 0.695 0.500 O
0.698 0.698 0.000 O
0.814 0.186 0.198 O
0.814 0.186 0.802 O
```

***

(5)
The following is a theoretical powder diffractogram of PmNpHg2O6. It was derived from DFT lattice parameters and positions (PBE), using Cu Kα, 1.54184 Å.

The 12 most intense peaks (5 to 70 degrees two-theta), by angle:
2θ/deg  Rel. int.
18.2  5
28.9  100
30.2  82
33.8  2
34.9  2
42.3  42
50.3  22
52.8  40
53.7  22
59.8  15
62.8  11
68.5  18

```
PmNpHg2O6
1.0
2.958 1.708 5.174
-2.958 1.708 5.174
0.000 -3.415 5.174
Pm Np Hg O
1 1 2 6
Direct
0.000 0.000 0.000 Pm
0.500 0.500 0.500 Np
0.253 0.253 0.253 Hg
0.747 0.747 0.747 Hg
0.149 0.731 0.381 O
0.269 0.619 0.851 O
0.381 0.149 0.731 O
0.619 0.851 0.269 O
0.731 0.381 0.149 O
0.851 0.269 0.619 O
```

***

(6)
The following is a theoretical powder diffractogram of Np2TlHgO8. It was derived from DFT lattice parameters and positions (PBE), using Cu Kα, 1.54184 Å.

The 12 most intense peaks (5 to 70 degrees two-theta), by angle:
2θ/deg  Rel. int.
13.2  68
21.4  41
26.6  29
29.2  100
31.6  24
32.2  32
39.9  65
51.8  26
53.7  19
59.1  20
62.2  16
67.3  14

```
Np2TlHgO8
1.0
6.119 0.000 0.000
-3.059 5.299 0.000
0.000 0.000 6.705
Np Tl Hg O
2 1 1 8
Direct
0.333 0.667 0.440 Np
0.667 0.333 0.560 Np
0.000 0.000 0.000 Tl
0.000 0.000 0.500 Hg
0.063 0.389 0.631 O
0.326 0.937 0.631 O
0.333 0.667 0.165 O
0.389 0.326 0.369 O
0.611 0.674 0.631 O
0.667 0.333 0.835 O
0.674 0.063 0.369 O
0.937 0.611 0.369 O
```

***

(7)
The following is a theoretical powder diffractogram of YNpHg2O6. It was derived from DFT lattice parameters and positions (PBE), using Cu Kα, 1.54184 Å.

The 12 most intense peaks (5 to 70 degrees two-theta), by angle:
2θ/deg  Rel. int.
29.8  69
30.0  100
30.6  32
42.3  17
43.4  29
52.7  24
53.1  13
53.3  13
53.8  16
54.3  16
61.9  9
62.5  9

```
YNpHg2O6
1.0
5.837 0.000 0.000
0.000 5.960 0.000
-5.733 0.000 8.546
Y Np Hg O
2 2 4 12
Direct
0.000 0.000 0.000 Y
0.000 0.500 0.500 Y
0.500 0.000 0.500 Np
0.500 0.500 0.000 Np
0.253 0.030 0.753 Hg
0.253 0.470 0.253 Hg
0.747 0.530 0.747 Hg
0.747 0.970 0.247 Hg
0.155 0.047 0.258 O
0.155 0.453 0.758 O
0.255 0.681 0.052 O
0.255 0.819 0.552 O
0.379 0.203 0.057 O
0.379 0.297 0.557 O
0.621 0.703 0.443 O
0.621 0.797 0.943 O
0.745 0.181 0.448 O
0.745 0.319 0.948 O
0.845 0.547 0.242 O
0.845 0.953 0.742 O
```

***

(8)
The following is a theoretical powder diffractogram of NpHg2P2Pt7. It was derived from DFT lattice parameters and positions (PBE), using Cu Kα, 1.54184 Å.

The 12 most intense peaks (5 to 70 degrees two-theta), by angle:
2θ/deg  Rel. int.
6.0  38
12.1  23
30.5  37
32.3  32
34.1  57
36.8  100
44.6  36
45.5  62
49.4  24
55.8  28
64.5  22
66.3  24

```
NpHg2P2Pt7
1.0
2.819 -2.818 0.000
2.819 2.818 0.000
-2.817 0.000 14.662
Np Hg P Pt
1 2 2 7
Direct
0.000 0.000 0.000 Np
0.205 0.205 0.413 Hg
0.795 0.795 0.587 Hg
0.378 0.378 0.756 P
0.622 0.622 0.244 P
0.078 0.578 0.155 Pt
0.303 0.303 0.605 Pt
0.422 0.922 0.845 Pt
0.500 0.500 0.000 Pt
0.578 0.078 0.155 Pt
0.697 0.697 0.395 Pt
0.922 0.422 0.845 Pt
```

***

(9)
The following is a theoretical powder diffractogram of NpHgPb. It was derived from DFT lattice parameters and positions (PBE), using Cu Kα, 1.54184 Å.

The 10 most intense peaks (5 to 70 degrees two-theta), by angle:
2θ/deg  Rel. int.
12.5  1
32.7  100
37.7  34
38.3  16
52.9  1
54.4  12
54.8  23
64.9  29
65.6  13
68.4  12

```
NpHgPb
1.0
3.375 0.000 0.000
0.000 3.375 0.000
0.000 0.000 14.116
Np Hg Pb
2 2 2
Direct
0.000 0.000 0.000 Np
0.500 0.500 0.500 Np
0.000 0.000 0.342 Hg
0.500 0.500 0.842 Hg
0.000 0.000 0.675 Pb
0.500 0.500 0.175 Pb
```

***

(10)
The following is a theoretical powder diffractogram of NpHgPdPt. It was derived from DFT lattice parameters and positions (PBE), using Cu Kα, 1.54184 Å.

The 9 most intense peaks (5 to 70 degrees two-theta), by angle:
2θ/deg  Rel. int.
22.6  3
26.1  4
37.3  100
44.0  2
46.1  1
53.7  18
59.0  1
60.7  2
67.2  36

```
NpHgPdPt
1.0
6.827 0.000 0.000
0.000 6.827 0.000
0.000 0.000 6.827
Np Hg Pd Pt
4 4 4 4
Direct
0.000 0.000 0.000 Np
0.000 0.500 0.500 Np
0.500 0.000 0.500 Np
0.500 0.500 0.000 Np
0.000 0.000 0.500 Hg
0.000 0.500 0.000 Hg
0.500 0.000 0.000 Hg
0.500 0.500 0.500 Hg
0.250 0.250 0.750 Pd
0.250 0.750 0.250 Pd
0.750 0.250 0.250 Pd
0.750 0.750 0.750 Pd
0.250 0.250 0.250 Pt
0.250 0.750 0.750 Pt
0.750 0.250 0.750 Pt
0.750 0.750 0.250 Pt
```

***

(11)
The following is a theoretical powder diffractogram of PmNpHg2. It was derived from DFT lattice parameters and positions (PBE), using Cu Kα, 1.54184 Å.

The 11 most intense peaks (5 to 70 degrees two-theta), by angle:
2θ/deg  Rel. int.
9.5  5
28.7  2
33.2  100
38.6  50
39.8  1
48.8  1
55.7  35
56.6  1
63.8  1
66.4  42
69.8  12

```
PmNpHg2
1.0
3.304 0.000 0.000
0.000 3.304 0.000
0.000 0.000 9.329
Pm Np Hg
1 1 2
Direct
0.000 0.000 0.000 Pm
0.000 0.000 0.500 Np
0.500 0.500 0.250 Hg
0.500 0.500 0.750 Hg
```

***

(12)
The following is a theoretical powder diffractogram of Rb3Np3HgSe8. It was derived from DFT lattice parameters and positions (PBE), using Cu Kα, 1.54184 Å.

The 12 most intense peaks (5 to 70 degrees two-theta), by angle:
2θ/deg  Rel. int.
11.0  71
24.7  15
28.5  100
35.8  23
38.6  35
42.9  36
44.4  16
44.9  14
52.3  18
59.1  17
63.9  14
69.9  17

```
Rb3Np3HgSe8
1.0
7.303 -4.217 0.000
7.303 4.217 0.000
-4.869 0.000 8.069
Rb Np Hg Se
3 3 1 8
Direct
0.000 0.000 0.000 Rb
0.000 0.500 0.000 Rb
0.500 0.000 0.000 Rb
0.000 0.500 0.500 Np
0.500 0.000 0.500 Np
0.500 0.500 0.500 Np
0.000 0.000 0.500 Hg
0.238 0.238 0.692 Se
0.240 0.717 0.693 Se
0.267 0.267 0.305 Se
0.283 0.760 0.307 Se
0.717 0.240 0.693 Se
0.733 0.733 0.695 Se
0.760 0.283 0.307 Se
0.762 0.762 0.308 Se
```